Structure and calculated powder XRD pattern of Pu3VO7 (a crystal structure in Alexandria, relaxed with GGA+U; Cu Kα (weighted mean of Kα1 and Kα2)).

Unit cell a=7.5327 b=10.5241 c=7.4284 alpha=90.00 beta=90.00 gamma=90.00
Space group Cmcm (No. 63)
Unique sites:
1 Pu 0.0000 0.0000 0.0000 [4 per cell]
2 Pu 0.2349 0.2635 0.2500 [8 per cell]
3 V 0.0000 0.5000 0.0000 [4 per cell]
4 O 0.0000 0.1329 0.7500 [4 per cell]
5 O 0.0000 0.1352 0.2500 [4 per cell]
6 O 0.0000 0.4244 0.2500 [4 per cell]
7 O 0.2155 0.3754 0.5259 [16 per cell]

Main lines, in order of rising 2θ (10° ≤ 2θ ≤ 90°):
hkl 1 1 0, 14.46°, rel. 27; hkl 1 3 0, 28.08°, rel. 17; hkl 2 2 0, 29.16°, rel. 100; hkl 0 2 2, 29.44°, rel. 97; hkl 2 0 2, 33.90°, rel. 49; hkl 0 4 0, 34.08°, rel. 23; hkl 4 0 0, 48.33°, rel. 15; hkl 2 4 2, 48.83°, rel. 58; hkl 0 0 4, 49.05°, rel. 16; hkl 4 2 2, 57.61°, rel. 28; hkl 2 2 4, 58.06°, rel. 42; hkl 0 6 2, 58.16°, rel. 13